[1]
Diffraction record for NdDyNiIr. The powder diffraction line list is computed, not measured: it uses a crystal structure in Alexandria, relaxed with GGA-PBE and Cu Kα.

Atomic structure:
```
4
Lattice="0.0000 3.4695 3.4695 3.4695 0.0000 3.4695 3.4695 3.4695 0.0000" Properties=species:S:1:pos:R:3 pbc="T T T"
Nd 0.0000 0.0000 0.0000
Dy 3.4695 3.4695 3.4695
Ni 1.7347 1.7347 1.7347
Ir 5.2042 5.2042 5.2042
```

Main lines, in order of falling intensity (2θ = 5–70°):
- 2θ = 36.63°, I 100
- 2θ = 65.95°, I 36
- 2θ = 52.77°, I 18
- 2θ = 22.19°, I 11
- 2θ = 43.24°, I 6
- 2θ = 57.93°, I 3
- 2θ = 25.68°, I 1

=====

[2]
Diffraction record for DyNi2Ir4. The powder diffraction line list is computed, not measured: it uses a crystal structure in Alexandria, relaxed with GGA-PBE and Cu Kα.

Atomic structure:
```
7
Lattice="-2.4636 3.2973 3.3027 2.4636 -3.2973 3.3027 2.4636 3.2973 -3.3027" Properties=species:S:1:pos:R:3 pbc="T T T"
Dy 0.0000 0.0000 0.0000
Ni 1.2314 3.2973 0.0000
Ni 1.2322 0.0000 3.3027
Ir 2.4636 1.2952 -1.2959
Ir 0.0000 2.0021 4.5986
Ir 2.4636 1.2952 1.2959
Ir 0.0000 2.0021 2.0068
```

Main lines, in order of falling intensity (2θ = 5–70°):
- 2θ = 45.13°, I 100
- 2θ = 35.45°, I 77
- 2θ = 38.58°, I 68
- 2θ = 45.97°, I 46
- 2θ = 36.47°, I 43
- 2θ = 41.45°, I 27
- 2θ = 27.02°, I 27
- 2θ = 54.14°, I 23

=====

[3]
Diffraction record for Dy5NiIr4. The powder diffraction line list is computed, not measured: it uses a crystal structure in Alexandria, relaxed with GGA-PBE and Cu Kα.

Atomic structure:
```
10
Lattice="3.3810 0.0000 0.0000 0.0000 3.3810 0.0000 0.0000 0.0000 17.5195" Properties=species:S:1:pos:R:3 pbc="T T T"
Dy 0.0000 0.0000 0.0000
Dy 0.0000 0.0000 3.5230
Dy 0.0000 0.0000 7.0192
Dy 0.0000 0.0000 10.5002
Dy 0.0000 0.0000 13.9965
Ni 1.6905 1.6905 8.7597
Ir 1.6905 1.6905 1.7670
Ir 1.6905 1.6905 5.3140
Ir 1.6905 1.6905 12.2055
Ir 1.6905 1.6905 15.7524
```

Main lines, in order of falling intensity (2θ = 5–70°):
- 2θ = 36.95°, I 100
- 2θ = 37.62°, I 48
- 2θ = 67.46°, I 35
- 2θ = 66.12°, I 18
- 2θ = 54.26°, I 17
- 2θ = 5.04°, I 10
- 2θ = 52.21°, I 9
- 2θ = 10.10°, I 3